Diffraction record for La5Se4. The powder XRD pattern is calculated, not measured: it uses the GGA-PBE geometry in Alexandria and CuKα.
Lines closer than 0.1° are merged.

Structure:
```
La5Se4
1.0
-6.7413 6.7413 2.0042
6.7413 -6.7413 2.0042
6.7413 6.7413 -2.0042
La Se
5 4
Direct
0.0000 0.0000 0.0000
0.3425 0.3425 0.6850
0.3425 0.6575 0.0000
0.6575 0.3425 0.0000
0.6575 0.6575 0.3150
0.0000 0.2272 0.2272
0.0000 0.7728 0.7728
0.2272 0.0000 0.2272
0.7728 0.0000 0.7728
```

Largest 12 diffraction maxima, low angle first, 2θ from 5° to 70°:
d [Å]  2θ (°)  intensity
9.534  9.28  100
4.264  20.83  11
3.178  28.08  19
2.991  29.87  66
2.734  32.75  16
2.644  33.90  9
2.534  35.43  35
2.383  37.74  13
2.247  40.13  13
1.864  48.86  12
1.797  50.82  11
1.403  66.65  9

=====

Diffraction record for La4Se5. The powder XRD pattern is calculated, not measured: it uses the GGA-PBE geometry in Alexandria and CuKα.
Lines closer than 0.1° are merged.

Structure:
```
La4Se5
1.0
8.6453 0.0000 0.0000
-4.3226 7.4870 0.0000
0.0000 0.0000 7.9609
La Se
8 10
Direct
0.0000 0.0000 0.0000
0.0000 0.0000 0.5000
0.0000 0.4087 0.2500
0.0000 0.5913 0.7500
0.4087 0.0000 0.2500
0.4087 0.4087 0.7500
0.5913 0.0000 0.7500
0.5913 0.5913 0.2500
0.0000 0.2542 0.7500
0.0000 0.7458 0.2500
0.2542 0.0000 0.7500
0.2542 0.2542 0.2500
0.3333 0.6667 0.0000
0.3333 0.6667 0.5000
0.6667 0.3333 0.0000
0.6667 0.3333 0.5000
0.7458 0.0000 0.2500
0.7458 0.7458 0.7500
```

Largest 12 diffraction maxima, low angle first, 2θ from 5° to 70°:
d [Å]  2θ (°)  intensity
3.980  22.33  15
3.744  23.77  16
2.928  30.53  100
2.666  33.61  59
2.496  35.99  34
2.306  39.05  10
2.009  45.12  23
1.990  45.58  16
1.936  46.94  23
1.899  47.89  12
1.635  56.27  16
1.556  59.40  15

=====

Diffraction record for LaSe2. The powder XRD pattern is calculated, not measured: it uses the GGA-PBE geometry in Alexandria and CuKα.
Lines closer than 0.1° are merged.

Structure:
```
LaSe2
1.0
4.1234 0.0000 0.0000
-1.6919 5.3892 0.0000
-0.8906 -2.6544 7.7128
La Se
2 4
Direct
0.0000 0.1066 0.3048
0.0000 0.8934 0.6952
0.3388 0.6937 0.3781
0.4924 0.2207 0.0669
0.5076 0.7793 0.9331
0.6612 0.3063 0.6219
```

Largest 12 diffraction maxima, low angle first, 2θ from 5° to 70°:
d [Å]  2θ (°)  intensity
5.091  17.42  80
3.188  27.99  39
3.062  29.17  96
2.741  32.67  100
2.683  33.39  31
2.661  33.68  36
2.606  34.41  59
2.571  34.89  83
2.540  35.34  41
2.214  40.75  33
2.036  44.50  27
1.856  49.09  33

=====

Diffraction record for LaSiSe3. The powder XRD pattern is calculated, not measured: it uses the GGA-PBE geometry in Alexandria and CuKα.
Lines closer than 0.1° are merged.

Structure:
```
LaSiSe3
1.0
6.9581 0.0000 0.0000
0.0000 7.9706 0.0000
-6.6383 0.0000 9.6202
La Si Se
4 4 12
Direct
0.2133 0.1247 0.2515
0.2133 0.3753 0.7515
0.7867 0.6247 0.2485
0.7867 0.8753 0.7485
0.1407 0.5992 0.0664
0.1407 0.9008 0.5664
0.8593 0.0992 0.4336
0.8593 0.4008 0.9336
0.0778 0.1838 0.9343
0.0778 0.3162 0.4343
0.2897 0.6871 0.9450
0.2897 0.8129 0.4450
0.4097 0.0180 0.7765
0.4097 0.4820 0.2765
0.5903 0.5180 0.7235
0.5903 0.9820 0.2235
0.7103 0.1871 0.5550
0.7103 0.3129 0.0550
0.9222 0.6838 0.5657
0.9222 0.8162 0.0657
```

Largest 12 diffraction maxima, low angle first, 2θ from 5° to 70°:
d [Å]  2θ (°)  intensity
4.554  19.49  36
3.069  29.10  54
3.053  29.25  49
2.998  29.80  62
2.830  31.62  36
2.768  32.34  100
2.705  33.11  57
2.620  34.22  34
2.544  35.28  42
2.498  35.95  56
2.482  36.19  69
2.407  37.36  40

=====

Diffraction record for LaSiSe2. The powder XRD pattern is calculated, not measured: it uses the GGA-PBE geometry in Alexandria and CuKα.
Lines closer than 0.1° are merged.

Structure:
```
LaSiSe2
1.0
4.0189 0.0000 0.0000
0.0000 5.5137 0.0000
0.0000 0.0000 8.3359
La Si Se
2 2 4
Direct
0.0000 0.0000 0.0000
0.5000 0.5000 0.5000
0.0000 0.0000 0.5000
0.5000 0.5000 0.0000
0.0000 0.5000 0.2045
0.0000 0.5000 0.7955
0.5000 0.0000 0.2955
0.5000 0.0000 0.7045
```

Largest 12 diffraction maxima, low angle first, 2θ from 5° to 70°:
d [Å]  2θ (°)  intensity
4.599  19.30  9
3.620  24.59  32
2.757  32.48  36
2.562  35.03  100
2.481  36.20  27
2.193  41.16  17
2.009  45.12  14
1.624  56.69  14
1.562  59.16  13
1.551  59.60  21
1.540  60.08  8
1.344  69.98  10

=====

Diffraction record for La8SiTe4Se3. The powder XRD pattern is calculated, not measured: it uses the GGA-PBE geometry in Alexandria and CuKα.
Lines closer than 0.1° are merged.

Structure:
```
La8SiTe4Se3
1.0
4.4236 2.5540 7.4283
-4.4236 2.5540 7.4283
0.0000 -5.1079 7.4283
La Si Te Se
8 1 4 3
Direct
0.2416 0.2416 0.2416
0.2481 0.7373 0.7373
0.2627 0.2627 0.7519
0.2627 0.7519 0.2627
0.7373 0.2481 0.7373
0.7373 0.7373 0.2481
0.7519 0.2627 0.2627
0.7584 0.7584 0.7584
0.5000 0.5000 0.5000
0.0000 0.0000 0.0000
0.0000 0.5000 0.5000
0.5000 0.0000 0.5000
0.5000 0.5000 0.0000
0.0000 0.0000 0.5000
0.0000 0.5000 0.0000
0.5000 0.0000 0.0000
```

Largest 12 diffraction maxima, low angle first, 2θ from 5° to 70°:
d [Å]  2θ (°)  intensity
3.776  23.56  4
3.623  24.57  4
3.157  28.27  100
2.905  30.78  7
2.253  40.02  36
2.212  40.80  38
1.857  49.05  6
1.811  50.38  20
1.650  55.73  5
1.578  58.48  12
1.422  65.65  14
1.401  66.75  17

=====

Diffraction record for La2SmSe3. The powder XRD pattern is calculated, not measured: it uses the GGA-PBE geometry in Alexandria and CuKα.
Lines closer than 0.1° are merged.

Structure:
```
La2SmSe3
1.0
4.2654 0.0000 0.0000
0.0000 6.0388 0.0000
0.0000 0.0000 12.7987
La Sm Se
4 2 6
Direct
0.0000 0.0000 0.1679
0.0000 0.0000 0.8321
0.5000 0.5000 0.3321
0.5000 0.5000 0.6679
0.0000 0.0000 0.5000
0.5000 0.5000 0.0000
0.0000 0.5000 0.1615
0.0000 0.5000 0.5000
0.0000 0.5000 0.8385
0.5000 0.0000 0.0000
0.5000 0.0000 0.3385
0.5000 0.0000 0.6615
```

Largest 8 diffraction maxima, low angle first, 2θ from 5° to 70°:
d [Å]  2θ (°)  intensity
3.484  25.57  15
3.017  29.61  100
2.134  42.36  75
1.820  50.14  7
1.742  52.53  26
1.509  61.46  12
1.384  67.67  3
1.349  69.68  34

=====

Diffraction record for LaSmSe2. The powder XRD pattern is calculated, not measured: it uses the GGA-PBE geometry in Alexandria and CuKα.
Lines closer than 0.1° are merged.

Structure:
```
LaSmSe2
1.0
4.1879 0.0000 0.0000
-2.0940 3.6268 0.0000
0.0000 0.0000 14.2552
La Sm Se
2 2 4
Direct
0.3333 0.6667 0.2500
0.6667 0.3333 0.7500
0.0000 0.0000 0.0000
0.0000 0.0000 0.5000
0.3333 0.6667 0.6188
0.3333 0.6667 0.8812
0.6667 0.3333 0.1188
0.6667 0.3333 0.3812
```

Largest 12 diffraction maxima, low angle first, 2θ from 5° to 70°:
d [Å]  2θ (°)  intensity
3.232  27.60  100
2.883  31.02  85
2.542  35.31  30
2.241  40.23  31
2.094  43.20  66
1.987  45.65  32
1.782  51.27  13
1.757  52.04  17
1.694  54.13  17
1.442  64.66  11
1.357  69.23  31
1.346  69.88  14

=====

Diffraction record for La6SnSe5. The powder XRD pattern is calculated, not measured: it uses the GGA-PBE geometry in Alexandria and CuKα.
Lines closer than 0.1° are merged.

Structure:
```
La6SnSe5
1.0
3.7899 -6.5623 0.0000
3.7899 6.5623 0.0000
-2.5253 0.0000 7.1589
La Sn Se
6 1 5
Direct
0.0755 0.4150 0.7448
0.2442 0.2442 0.2529
0.4150 0.0755 0.7448
0.5850 0.9245 0.2552
0.7558 0.7558 0.7471
0.9245 0.5850 0.2552
0.5000 0.5000 0.0000
0.0000 0.0000 0.5000
0.1675 0.8325 0.0000
0.3366 0.6634 0.5000
0.6634 0.3366 0.5000
0.8325 0.1675 0.0000
```

Largest 10 diffraction maxima, low angle first, 2θ from 5° to 70°:
d [Å]  2θ (°)  intensity
3.575  24.91  9
3.096  28.84  100
2.189  41.24  75
1.868  48.74  1
1.866  48.79  3
1.787  51.10  27
1.548  59.74  12
1.421  65.69  1
1.420  65.78  1
1.385  67.67  34

=====

Diffraction record for Sr3La4Se8. The powder XRD pattern is calculated, not measured: it uses the GGA-PBE geometry in Alexandria and CuKα.
Lines closer than 0.1° are merged.

Structure:
```
Sr3La4Se8
1.0
6.1589 -6.1718 0.0000
6.1589 6.1718 0.0000
-6.1307 0.0000 6.1899
Sr La Se
3 4 8
Direct
0.0000 0.0000 0.0000
0.0000 0.5000 0.0000
0.5000 0.0000 0.0000
0.0000 0.5000 0.5000
0.5000 0.0000 0.5000
0.5000 0.5000 0.0000
0.5000 0.5000 0.5000
0.2517 0.7483 0.0000
0.2541 0.7459 0.5000
0.2553 0.2553 0.5053
0.2616 0.2616 0.0137
0.7384 0.7384 0.9863
0.7447 0.7447 0.4947
0.7459 0.2541 0.5000
0.7483 0.2517 0.0000
```

Largest 12 diffraction maxima, low angle first, 2θ from 5° to 70°:
d [Å]  2θ (°)  intensity
7.136  12.40  18
3.724  23.89  7
3.090  28.89  100
3.079  29.00  50
2.186  41.30  56
2.179  41.44  56
1.785  51.18  20
1.779  51.35  20
1.547  59.76  6
1.383  67.74  8
1.380  67.91  25
1.377  68.08  13

=====

Diffraction record for SrLa3Se4. The powder XRD pattern is calculated, not measured: it uses the GGA-PBE geometry in Alexandria and CuKα.
Lines closer than 0.1° are merged.

Structure:
```
SrLa3Se4
1.0
8.7211 0.0000 0.0000
0.0000 12.2710 0.0000
0.0000 0.0000 4.3194
Sr La Se
2 6 8
Direct
0.0000 0.0000 0.0000
0.5000 0.5000 0.0000
0.0000 0.5000 0.0000
0.2500 0.2500 0.5000
0.2500 0.7500 0.5000
0.5000 0.0000 0.0000
0.7500 0.2500 0.5000
0.7500 0.7500 0.5000
0.0000 0.2503 0.0000
0.0000 0.7497 0.0000
0.2481 0.5000 0.5000
0.2519 0.0000 0.5000
0.5000 0.2497 0.0000
0.5000 0.7503 0.0000
0.7481 0.0000 0.5000
0.7519 0.5000 0.5000
```

Largest 12 diffraction maxima, low angle first, 2θ from 5° to 70°:
d [Å]  2θ (°)  intensity
3.554  25.05  5
3.532  25.21  5
3.068  29.10  100
2.180  41.41  13
2.170  41.63  50
2.160  41.83  12
1.777  51.42  13
1.766  51.77  13
1.534  60.33  12
1.378  68.06  6
1.372  68.36  23
1.367  68.65  6

=====

Diffraction record for SrLa2Tl3Se6. The powder XRD pattern is calculated, not measured: it uses the GGA-PBE geometry in Alexandria and CuKα.
Lines closer than 0.1° are merged.

Structure:
```
SrLa2Tl3Se6
1.0
9.8808 -2.2187 0.0000
9.8808 2.2187 0.0000
-2.3025 0.0000 8.7844
Sr La Tl Se
1 2 3 6
Direct
0.0000 0.0000 0.0000
0.3330 0.3330 0.6693
0.6670 0.6670 0.3307
0.0000 0.0000 0.5000
0.3352 0.3352 0.1663
0.6648 0.6648 0.8337
0.1635 0.1635 0.1054
0.1738 0.1738 0.5628
0.4895 0.4895 0.7526
0.5105 0.5105 0.2474
0.8262 0.8262 0.4372
0.8365 0.8365 0.8946
```

Largest 12 diffraction maxima, low angle first, 2θ from 5° to 70°:
d [Å]  2θ (°)  intensity
3.741  23.79  10
3.646  24.41  24
3.186  28.01  50
3.173  28.12  100
2.268  39.74  56
2.229  40.47  38
2.219  40.67  19
1.870  48.68  9
1.827  49.90  10
1.821  50.10  20
1.587  58.14  12
1.406  66.48  9